For Cs2LiSbSe4, a GGA-PBE-relaxed structure gives the simulated powder X-ray diffraction pattern in this record (λ = 1.5418 Å (Cu Kα)).
Lines closer than 0.1° are merged.

Atomic structure:
a = 6.3519 Å, b = 14.8665 Å, c = 26.2443 Å
α = 90.00°, β = 90.00°, γ = 90.00°
Space group Fddd (No. 70, origin choice 2)
Asymmetric unit:
Cs  0.1250  0.1250  0.3049 (multiplicity 16)
Li  0.1250  0.1250  0.1250 (multiplicity 8)
Sb  0.1250  0.1250  0.6250 (multiplicity 8)
Se  0.1096  0.2762  0.8224 (multiplicity 32)

Principal peaks in the range 5° ≤ 2θ ≤ 70°, in order of rising 2θ:
hkl 1 1 3, 18.26 deg, rel. 28; hkl 0 2 6, 23.60 deg, rel. 29; hkl 1 3 3, 24.96 deg, rel. 100; hkl 0 0 8, 27.18 deg, rel. 17; hkl 1 3 5, 28.48 deg, rel. 29; hkl 2 0 2, 28.92 deg, rel. 15; hkl 1 3 7, 33.12 deg, rel. 16; hkl 2 0 6, 34.89 deg, rel. 38; hkl 0 6 6, 41.90 deg, rel. 14; hkl 2 0 10, 44.80 deg, rel. 14; hkl 2 6 0, 46.49 deg, rel. 20; hkl 3 3 3, 47.86 deg, rel. 17